# 1
Starting from a DFT-relaxed cell (PBE, Alexandria), the X-ray powder pattern of BaMnPb2Se4 was simulated for CuKα.
Peak positions follow from Bragg's law for the DFT cell and can differ from measured ones.

Structural model:
Lattice parameters (Å, degrees): 7.6248 7.6248 15.2220 90.00 90.00 146.70
Atoms (fractional coordinates):
Ba (0.1116, 0.8884, 0.7500)
Ba (0.8884, 0.1116, 0.2500)
Mn (0.1600, 0.8400, 0.2500)
Mn (0.8400, 0.1600, 0.7500)
Pb (0.3690, 0.6310, 0.5511)
Pb (0.3690, 0.6310, 0.9489)
Pb (0.6310, 0.3690, 0.0511)
Pb (0.6310, 0.3690, 0.4489)
Se (0.0000, 0.0000, 0.0000)
Se (0.0000, 0.0000, 0.5000)
Se (0.2715, 0.7285, 0.1256)
Se (0.2715, 0.7285, 0.3744)
Se (0.4354, 0.5646, 0.7500)
Se (0.5646, 0.4354, 0.2500)
Se (0.7285, 0.2715, 0.6256)
Se (0.7285, 0.2715, 0.8744)

The 10 most intense peaks (10° ≤ 2θ ≤ 90°), sorted by position:
21.30 deg, intensity 62; 24.27 deg, intensity 28; 27.42 deg, intensity 25; 28.06 deg, intensity 67; 29.88 deg, intensity 100; 31.84 deg, intensity 34; 36.49 deg, intensity 58; 38.90 deg, intensity 29; 41.17 deg, intensity 63; 41.33 deg, intensity 37


# 2
Starting from a DFT-relaxed cell (PBE, Alexandria), the X-ray powder pattern of LaMgHg6 was simulated for CuKα.
Peak positions follow from Bragg's law for the DFT cell and can differ from measured ones.

Structural model:
Lattice parameters (Å, degrees): 8.6436 8.6436 8.6436 43.44 43.44 43.44
Atoms (fractional coordinates):
La (0.0000, 0.0000, 0.0000)
Mg (0.5000, 0.5000, 0.5000)
Hg (0.0701, 0.0701, 0.5463)
Hg (0.0701, 0.5463, 0.0701)
Hg (0.4537, 0.9299, 0.9299)
Hg (0.5463, 0.0701, 0.0701)
Hg (0.9299, 0.4537, 0.9299)
Hg (0.9299, 0.9299, 0.4537)

The 10 most intense peaks (10° ≤ 2θ ≤ 90°), sorted by position:
11.32 deg, intensity 45; 16.44 deg, intensity 100; 22.76 deg, intensity 35; 32.55 deg, intensity 94; 33.23 deg, intensity 92; 34.43 deg, intensity 42; 42.34 deg, intensity 69; 45.03 deg, intensity 42; 57.64 deg, intensity 34; 68.89 deg, intensity 33


# 3
Starting from a DFT-relaxed cell (PBE, Alexandria), the X-ray powder pattern of Li3U3SnS8 was simulated for CuKα.
Peak positions follow from Bragg's law for the DFT cell and can differ from measured ones.

Structural model:
Lattice parameters (Å, degrees): 7.6316 7.6316 7.6316 63.00 63.00 63.00
Atoms (fractional coordinates):
Li (0.0000, 0.5000, 0.5000)
Li (0.5000, 0.0000, 0.5000)
Li (0.5000, 0.5000, 0.0000)
U (0.0000, 0.0000, 0.5000)
U (0.0000, 0.5000, 0.0000)
U (0.5000, 0.0000, 0.0000)
Sn (0.5000, 0.5000, 0.5000)
S (0.2372, 0.7534, 0.7534)
S (0.2466, 0.2466, 0.7628)
S (0.2466, 0.7628, 0.2466)
S (0.2518, 0.2518, 0.2518)
S (0.7482, 0.7482, 0.7482)
S (0.7534, 0.2372, 0.7534)
S (0.7534, 0.7534, 0.2372)
S (0.7628, 0.2466, 0.2466)

The 10 most intense peaks (10° ≤ 2θ ≤ 90°), sorted by position:
14.55 deg, intensity 100; 26.26 deg, intensity 76; 27.62 deg, intensity 33; 32.51 deg, intensity 85; 35.79 deg, intensity 35; 43.48 deg, intensity 21; 45.49 deg, intensity 33; 47.77 deg, intensity 29; 48.02 deg, intensity 31; 57.03 deg, intensity 22


# 4
Starting from a DFT-relaxed cell (PBE, Alexandria), the X-ray powder pattern of RbSiIrO6 was simulated for CuKα.
Peak positions follow from Bragg's law for the DFT cell and can differ from measured ones.

Structural model:
Lattice parameters (Å, degrees): 5.0048 5.0048 6.4026 90.00 90.00 120.00
Atoms (fractional coordinates):
Rb (0.0000, 0.0000, 0.0000)
Si (0.6667, 0.3333, 0.5000)
Ir (0.3333, 0.6667, 0.5000)
O (0.4046, 0.0177, 0.6643)
O (0.4046, 0.3869, 0.3357)
O (0.6131, 0.0177, 0.3357)
O (0.6131, 0.5954, 0.6643)
O (0.9823, 0.3869, 0.6643)
O (0.9823, 0.5954, 0.3357)

The 10 most intense peaks (10° ≤ 2θ ≤ 90°), sorted by position:
13.83 deg, intensity 38; 20.49 deg, intensity 24; 24.81 deg, intensity 100; 27.87 deg, intensity 13; 34.84 deg, intensity 14; 35.89 deg, intensity 22; 44.12 deg, intensity 18; 46.04 deg, intensity 34; 47.49 deg, intensity 15; 58.12 deg, intensity 19